[1]
This entry pairs a crystal structure of LiHf2N3 with its calculated X-ray powder pattern. Radiation: a wavelength of 1.5418 Å. Structure: a crystal structure in Alexandria, relaxed with GGA-PBE.
Intensities are scaled so that the largest is 100.

Atomic structure:
```
LiHf2N3
1.0
5.4803 0.0000 0.0000
0.0000 3.2101 0.0000
-2.4639 0.0000 8.0041
Li Hf N
2 4 6
direct
0.0247 0.2500 0.3590
0.9753 0.7500 0.6410
0.2390 0.2500 0.9843
0.4755 0.2500 0.6593
0.5245 0.7500 0.3407
0.7610 0.7500 0.0157
0.1624 0.7500 0.1386
0.2874 0.7500 0.5028
0.3628 0.7500 0.8402
0.6372 0.2500 0.1598
0.7126 0.2500 0.4972
0.8376 0.2500 0.8614
```

Peak list (8 most intense, 2θ = 10–80°, by intensity)
two_theta, intensity, index
36.82, 100, 1 1 -2
36.28, 82, 1 1 1
16.93, 80, 1 0 0
32.71, 58, 2 0 -1
33.59, 54, 0 0 3
11.05, 48, 0 0 1
34.99, 41, 2 0 -2
39.22, 40, 2 0 1


[2]
This entry pairs a crystal structure of Li2HfN2 with its calculated X-ray powder pattern. Radiation: a wavelength of 1.5418 Å. Structure: a crystal structure in Alexandria, relaxed with GGA-PBE.
Intensities are scaled so that the largest is 100.

Atomic structure:
```
Li2HfN2
1.0
3.2575 0.0000 0.0000
-1.6288 2.8211 0.0000
0.0000 0.0000 5.4660
Li Hf N
2 1 2
direct
0.3333 0.6667 0.1174
0.6667 0.3333 0.8826
0.0000 0.0000 0.5000
0.3333 0.6667 0.7203
0.6667 0.3333 0.2797
```

Peak list (8 most intense, 2θ = 10–80°, by intensity)
two_theta, intensity, index
16.22, 100, 0 0 1
35.82, 91, 0 1 1
46.25, 50, 0 1 2
31.72, 49, 1 0 0
60.49, 21, 1 0 3
59.19, 20, 1 1 1
56.50, 17, 1 1 0
68.72, 16, 2 0 1


What did the second record say?
This entry pairs a crystal structure of Li2HfN2 with its calculated X-ray powder pattern. Radiation: a wavelength of 1.5418 Å. Structure: a crystal structure in Alexandria, relaxed with GGA-PBE.
Intensities are scaled so that the largest is 100.

Atomic structure:
```
Li2HfN2
1.0
3.2575 0.0000 0.0000
-1.6288 2.8211 0.0000
0.0000 0.0000 5.4660
Li Hf N
2 1 2
direct
0.3333 0.6667 0.1174
0.6667 0.3333 0.8826
0.0000 0.0000 0.5000
0.3333 0.6667 0.7203
0.6667 0.3333 0.2797
```

Peak list (8 most intense, 2θ = 10–80°, by intensity)
two_theta, intensity, index
16.22, 100, 0 0 1
35.82, 91, 0 1 1
46.25, 50, 0 1 2
31.72, 49, 1 0 0
60.49, 21, 1 0 3
59.19, 20, 1 1 1
56.50, 17, 1 1 0
68.72, 16, 2 0 1